The following is a theoretical XRD peak list of Si2HgBi2. It was derived from a crystal structure in Alexandria, relaxed with PBE, using Cu Kα X-rays.
No peak broadening, texture or thermal motion is included.

Principal peaks in the range 2θ = 10–90°, in order of rising 2θ:
19.14 deg, rel. 21, (1 0 1); 30.68 deg, rel. 100, (1 1 2); 33.11 deg, rel. 50, (2 0 0); 34.20 deg, rel. 12, (1 0 3); 47.52 deg, rel. 19, (2 2 0); 52.96 deg, rel. 19, (2 0 4); 57.63 deg, rel. 35, (3 1 2); 63.89 deg, rel. 11, (2 2 4); 67.07 deg, rel. 12, (1 1 6); 86.28 deg, rel. 13, (3 1 6)

Structure:
```
data_Si2HgBi2
_chemical_formula_sum 'Si4 Hg2 Bi4'
_space_group_name_H-M_alt 'I 4/m m m'
_space_group_IT_number 139
_space_group_name_Hall '-I 4 2'
_cell_length_a 5.4116
_cell_length_b 5.4116
_cell_length_c 8.9919
_cell_angle_alpha 90.00
_cell_angle_beta 90.00
_cell_angle_gamma 90.00
loop_
_atom_site_label
_atom_site_type_symbol
_atom_site_fract_x
_atom_site_fract_y
_atom_site_fract_z
_atom_site_occupancy
Si1 Si 0.0000 0.0000 0.1328 1
Hg1 Hg 0.0000 0.0000 0.5000 1
Bi1 Bi 0.0000 0.5000 0.2500 1
```

---

The following is a theoretical XRD peak list of Sn4Hg2Bi3. It was derived from a crystal structure in Alexandria, relaxed with PBE, using Cu Kα X-rays.
No peak broadening, texture or thermal motion is included.

Principal peaks in the range 2θ = 10–90°, in order of rising 2θ:
29.20 deg, rel. 42, (1 1 -2); 29.37 deg, rel. 100, (3 3 0); 34.29 deg, rel. 37, (2 2 2); 41.59 deg, rel. 20, (4 2 -2); 41.95 deg, rel. 18, (0 6 0); 42.09 deg, rel. 19, (6 0 0); 42.20 deg, rel. 12, (2 4 2); 45.41 deg, rel. 20, (1 5 -2); 46.10 deg, rel. 13, (5 1 2); 60.93 deg, rel. 12, (6 6 0)

Structure:
```
data_Sn4Hg2Bi3
_chemical_formula_sum 'Sn16 Hg8 Bi12'
_space_group_name_H-M_alt 'C 1 2/c 1'
_space_group_IT_number 15
_space_group_name_Hall '-C 2yc'
_cell_length_a 12.8851
_cell_length_b 12.9211
_cell_length_c 6.4569
_cell_angle_alpha 90.00
_cell_angle_beta 91.27
_cell_angle_gamma 90.00
loop_
_atom_site_label
_atom_site_type_symbol
_atom_site_fract_x
_atom_site_fract_y
_atom_site_fract_z
_atom_site_occupancy
Sn1 Sn 0.0015 0.1680 0.4925 1
Sn2 Sn 0.1538 0.3213 0.7992 1
Hg1 Hg 0.1680 0.3189 0.2987 1
Bi1 Bi 0.0000 0.4971 0.2500 1
Bi2 Bi 0.1761 0.0063 0.0522 1
```

---

The following is a theoretical XRD peak list of SnHgBi. It was derived from a crystal structure in Alexandria, relaxed with PBE, using Cu Kα X-rays.
No peak broadening, texture or thermal motion is included.

Principal peaks in the range 2θ = 10–90°, in order of rising 2θ:
28.87 deg, rel. 65, (2 0 0); 30.72 deg, rel. 100, (0 1 3); 31.05 deg, rel. 54, (0 0 6); 34.05 deg, rel. 24, (1 1 3); 42.67 deg, rel. 68, (2 1 3); 42.91 deg, rel. 45, (2 0 6); 55.05 deg, rel. 16, (0 1 9); 63.34 deg, rel. 21, (2 1 9); 68.75 deg, rel. 17, (4 1 3); 72.40 deg, rel. 13, (2 0 12)

Structure:
```
data_SnHgBi
_chemical_formula_sum 'Sn4 Hg4 Bi4'
_space_group_name_H-M_alt 'A m a 2'
_space_group_IT_number 40
_space_group_name_Hall 'A 2 -2a'
_cell_length_a 6.1847
_cell_length_b 3.3711
_cell_length_c 17.2789
_cell_angle_alpha 90.00
_cell_angle_beta 90.00
_cell_angle_gamma 90.00
loop_
_atom_site_label
_atom_site_type_symbol
_atom_site_fract_x
_atom_site_fract_y
_atom_site_fract_z
_atom_site_occupancy
Sn1 Sn 0.2500 0.0142 0.0000 1
Hg1 Hg 0.2500 0.4527 0.8403 1
Bi1 Bi 0.2500 0.3683 0.1695 1
```

---

The following is a theoretical XRD peak list of Sn2HgBi2. It was derived from a crystal structure in Alexandria, relaxed with PBE, using Cu Kα X-rays.
No peak broadening, texture or thermal motion is included.

Principal peaks in the range 2θ = 10–90°, in order of rising 2θ:
24.90 deg, rel. 34, (1 1 0); 25.79 deg, rel. 100, (1 0 3); 27.94 deg, rel. 83, (1 1 2); 35.50 deg, rel. 76, (2 0 0); 35.66 deg, rel. 42, (1 1 4); 36.31 deg, rel. 55, (1 0 5); 44.40 deg, rel. 48, (2 1 3); 51.08 deg, rel. 27, (2 2 0); 51.69 deg, rel. 41, (2 1 5); 64.15 deg, rel. 27, (2 0 8)

Structure:
```
data_Sn2HgBi2
_chemical_formula_sum 'Sn4 Hg2 Bi4'
_space_group_name_H-M_alt 'I 4/m m m'
_space_group_IT_number 139
_space_group_name_Hall '-I 4 2'
_cell_length_a 5.0575
_cell_length_b 5.0575
_cell_length_c 14.1840
_cell_angle_alpha 90.00
_cell_angle_beta 90.00
_cell_angle_gamma 90.00
loop_
_atom_site_label
_atom_site_type_symbol
_atom_site_fract_x
_atom_site_fract_y
_atom_site_fract_z
_atom_site_occupancy
Sn1 Sn 0.0000 0.5000 0.2500 1
Hg1 Hg 0.0000 0.0000 0.0000 1
Bi1 Bi 0.0000 0.0000 0.3797 1
```

---

The following is a theoretical XRD peak list of SnHg2Bi. It was derived from a crystal structure in Alexandria, relaxed with PBE, using Cu Kα X-rays.
No peak broadening, texture or thermal motion is included.

Principal peaks in the range 2θ = 10–90°, in order of rising 2θ:
30.50 deg, rel. 26, (1 0 1); 30.84 deg, rel. 100, (0 1 2); 31.02 deg, rel. 64, (0 0 12); 33.10 deg, rel. 62, (0 1 5); 35.52 deg, rel. 43, (1 0 7); 40.25 deg, rel. 62, (1 0 10); 48.10 deg, rel. 23, (0 1 14); 54.00 deg, rel. 42, (1 1 0); 63.60 deg, rel. 51, (1 1 12); 89.11 deg, rel. 21, (1 1 24)

Structure:
```
data_SnHg2Bi
_chemical_formula_sum 'Sn3 Hg6 Bi3'
_space_group_name_H-M_alt 'R -3 m'
_space_group_IT_number 166
_space_group_name_Hall '-R 3 2"'
_cell_length_a 3.3960
_cell_length_b 3.3960
_cell_length_c 34.5906
_cell_angle_alpha 90.00
_cell_angle_beta 90.00
_cell_angle_gamma 120.00
loop_
_atom_site_label
_atom_site_type_symbol
_atom_site_fract_x
_atom_site_fract_y
_atom_site_fract_z
_atom_site_occupancy
Sn1 Sn 0.0000 0.0000 0.0000 1
Hg1 Hg 0.0000 0.0000 0.0857 1
Bi1 Bi 0.0000 0.0000 0.5000 1
```

---

The following is a theoretical XRD peak list of Tl3SnHg2Bi3. It was derived from a crystal structure in Alexandria, relaxed with PBE, using Cu Kα X-rays.
No peak broadening, texture or thermal motion is included.

Principal peaks in the range 2θ = 10–90°, in order of rising 2θ:
28.32 deg, rel. 91, (1 1 1); 31.14 deg, rel. 100, (2 0 1); 33.99 deg, rel. 47, (2 1 0); 35.47 deg, rel. 38, (0 0 2); 38.49 deg, rel. 22, (2 1 1); 38.71 deg, rel. 25, (3 0 0); 49.95 deg, rel. 33, (2 1 2); 53.51 deg, rel. 20, (3 0 2); 60.68 deg, rel. 29, (3 2 1); 61.01 deg, rel. 15, (2 0 3)

Structure:
```
data_Tl3SnHg2Bi3
_chemical_formula_sum 'Tl3 Sn1 Hg2 Bi3'
_space_group_name_H-M_alt 'P -6 2 m'
_space_group_IT_number 189
_space_group_name_Hall 'P -6 -2'
_cell_length_a 8.0570
_cell_length_b 8.0570
_cell_length_c 5.0610
_cell_angle_alpha 90.00
_cell_angle_beta 90.00
_cell_angle_gamma 120.00
loop_
_atom_site_label
_atom_site_type_symbol
_atom_site_fract_x
_atom_site_fract_y
_atom_site_fract_z
_atom_site_occupancy
Tl1 Tl 0.0000 0.4274 0.0000 1
Sn1 Sn 0.0000 0.0000 0.0000 1
Hg1 Hg 0.3333 0.6667 0.5000 1
Bi1 Bi 0.0000 0.7421 0.5000 1
```

---

The following is a theoretical XRD peak list of SrHg5Bi. It was derived from a crystal structure in Alexandria, relaxed with PBE, using Cu Kα X-rays.
No peak broadening, texture or thermal motion is included.

Principal peaks in the range 2θ = 10–90°, in order of rising 2θ:
16.72 deg, rel. 54, (0 1 1); 17.34 deg, rel. 61, (0 2 0); 17.74 deg, rel. 92, (1 0 1); 21.03 deg, rel. 56, (2 0 0); 24.91 deg, rel. 54, (1 2 1); 26.99 deg, rel. 50, (2 1 1); 31.97 deg, rel. 84, (1 1 2); 35.10 deg, rel. 74, (0 4 0); 39.30 deg, rel. 82, (3 2 1); 40.16 deg, rel. 100, (2 2 2)

Structure:
```
data_SrHg5Bi
_chemical_formula_sum 'Sr2 Hg10 Bi2'
_space_group_name_H-M_alt 'I m m 2'
_space_group_IT_number 44
_space_group_name_Hall 'I 2 -2'
_cell_length_a 8.4498
_cell_length_b 10.2261
_cell_length_c 6.2003
_cell_angle_alpha 90.00
_cell_angle_beta 90.00
_cell_angle_gamma 90.00
loop_
_atom_site_label
_atom_site_type_symbol
_atom_site_fract_x
_atom_site_fract_y
_atom_site_fract_z
_atom_site_occupancy
Sr1 Sr 0.0000 0.0000 0.0000 1
Hg1 Hg 0.0000 0.2413 0.3938 1
Hg2 Hg 0.0000 0.5000 0.1914 1
Hg3 Hg 0.1927 0.0000 0.5005 1
Bi1 Bi 0.0000 0.5000 0.6876 1
```

---

The following is a theoretical XRD peak list of SrHg6Bi3. It was derived from a crystal structure in Alexandria, relaxed with PBE, using Cu Kα X-rays.
No peak broadening, texture or thermal motion is included.

Principal peaks in the range 2θ = 10–90°, in order of rising 2θ:
27.51 deg, rel. 25, (0 3 1); 29.04 deg, rel. 100, (1 3 1); 29.83 deg, rel. 34, (2 2 1); 31.85 deg, rel. 74, (2 4 0); 33.84 deg, rel. 85, (1 4 1); 33.98 deg, rel. 91, (3 0 1); 34.61 deg, rel. 75, (3 1 1); 39.40 deg, rel. 68, (0 0 2); 42.17 deg, rel. 23, (4 3 0); 51.53 deg, rel. 39, (2 4 2)

Structure:
```
data_SrHg6Bi3
_chemical_formula_sum 'Sr2 Hg12 Bi6'
_space_group_name_H-M_alt 'P n n m'
_space_group_IT_number 58
_space_group_name_Hall '-P 2 2n'
_cell_length_a 9.6895
_cell_length_b 13.7934
_cell_length_c 4.5737
_cell_angle_alpha 90.00
_cell_angle_beta 90.00
_cell_angle_gamma 90.00
loop_
_atom_site_label
_atom_site_type_symbol
_atom_site_fract_x
_atom_site_fract_y
_atom_site_fract_z
_atom_site_occupancy
Sr1 Sr 0.0000 0.0000 0.0000 1
Hg1 Hg 0.0594 0.2561 0.0000 1
Hg2 Hg 0.1719 0.4054 0.5000 1
Hg3 Hg 0.2274 0.1274 0.5000 1
Bi1 Bi 0.0000 0.5000 0.0000 1
Bi2 Bi 0.1273 0.8211 0.5000 1
```